Entry 1:
This entry pairs a crystal structure of Y2CuSe2O with its calculated PXRD pattern. Radiation: λ = 1.5418 Å (Cu Kα). Structure: a cell relaxed with PBE.
Neutral-atom scattering factors, no anomalous dispersion.

Top 6 peaks for 10 to 90 degrees two-theta, in order of rising 2θ:
2θ/deg, intensity, hkl
24.75, 100, 1 0 0
35.29, 39, 1 1 0
46.36, 25, 1 0 6
50.76, 13, 2 0 0
53.25, 16, 1 1 6
57.27, 18, 2 1 0

Crystal structure
Cell: 3.597 3.597 14.011 Å, 90.00 90.00 90.00°
Space group P4/mmm (No. 123)
Unique sites:
Y (0.000, 0.000, 0.145)
Cu (0.000, 0.000, 0.500)
Se (0.000, 0.000, 0.341)
O (0.000, 0.000, 0.000)


Entry 2:
This entry pairs a crystal structure of Ac2SmIr2 with its calculated PXRD pattern. Radiation: λ = 1.5418 Å (Cu Kα). Structure: a cell relaxed with PBE.
Neutral-atom scattering factors, no anomalous dispersion.

Top 6 peaks for 10 to 90 degrees two-theta, in order of rising 2θ:
2θ/deg, intensity, hkl
28.53, 100, 1 3 0
29.54, 88, 0 2 3
29.91, 86, 1 3 1
33.73, 80, 1 3 2
34.71, 63, 1 1 3
42.77, 95, 2 0 0

Crystal structure
Cell: 4.231 13.939 10.071 Å, 90.00 90.00 90.00°
Space group Cmcm (No. 63)
Unique sites:
Ac (0.000, 0.142, 0.064)
Sm (0.000, 0.402, 0.250)
Ir (0.000, 0.238, 0.750)
Ir (0.000, 0.500, 0.000)